1.
Simulated PXRD pattern
Compound: DySc2AlAu4
Radiation: Cu Kα (λ = 1.5418 Å)
Structure: the PBE geometry in Alexandria

Cell and atoms:
Lattice parameters (Å, degrees): 4.7391 4.7391 24.6061 90.00 90.00 120.00
Space group R-3m (No. 166, hexagonal axes)
Symmetry-distinct sites (fractional):
Dy 0.0000 0.0000 0.0000 [3 per cell]
Sc 0.0000 0.0000 0.2429 [6 per cell]
Al 0.0000 0.0000 0.5000 [3 per cell]
Au 0.0000 0.0000 0.1241 [6 per cell]
Au 0.0000 0.0000 0.3901 [6 per cell]

The 10 most intense peaks (2θ from 5° to 70°), low angle first:
d [Å]	2θ (°)	I_rel
3.414	26.10	54
3.152	28.31	11
2.670	33.57	13
2.461	36.51	89
2.370	37.97	100
2.110	42.85	13
1.947	46.66	12
1.707	53.69	29
1.385	67.64	29
1.368	68.60	19



2.
Simulated PXRD pattern
Compound: TbDy2AlAu4
Radiation: Cu Kα (λ = 1.5418 Å)
Structure: the PBE geometry in Alexandria

Cell and atoms:
Lattice parameters (Å, degrees): 4.9539 4.9539 24.6491 90.00 90.00 120.00
Space group R-3m (No. 166, hexagonal axes)
Symmetry-distinct sites (fractional):
Tb 0.0000 0.0000 0.0000 [3 per cell]
Dy 0.0000 0.0000 0.2428 [6 per cell]
Al 0.0000 0.0000 0.5000 [3 per cell]
Au 0.0000 0.0000 0.1217 [6 per cell]
Au 0.0000 0.0000 0.3821 [6 per cell]

The 10 most intense peaks (2θ from 5° to 70°), low angle first:
d [Å]	2θ (°)	I_rel
4.108	21.63	6
3.521	25.30	12
3.236	27.56	6
2.503	35.88	95
2.477	36.27	100
2.121	42.62	6
1.760	51.94	33
1.450	64.24	14
1.435	64.99	34
1.430	65.24	18